The following is a computed PXRD pattern of KHg4H12. It was derived from a GGA-PBE-relaxed structure, using Cu Kα.
Intensities are scaled so that the largest is 100.

Structure:
```
17
Lattice="-4.2604 4.2604 4.2604 4.2604 -4.2604 4.2604 4.2604 4.2604 -4.2604" Properties=species:S:1:pos:R:3 pbc="T T T"
K 0.0000 0.0000 0.0000
Hg 2.1302 2.1302 -2.1302
Hg 2.1302 -2.1302 2.1302
Hg -2.1302 2.1302 2.1302
Hg 2.1302 2.1302 2.1302
H 3.8818 1.3144 0.0000
H 4.6390 1.3144 0.0000
H 4.2604 -0.3786 2.9460
H 4.2604 0.3786 2.9460
H 2.9460 4.2604 -0.3786
H 1.3144 0.0000 3.8818
H 2.9460 4.2604 0.3786
H 1.3144 0.0000 4.6390
H 0.0000 3.8818 1.3144
H 0.0000 4.6390 1.3144
H -0.3786 2.9460 4.2604
H 0.3786 2.9460 4.2604
```

Most intense lines, 2θ = 10–90°, by angle:
Position (°2θ), I_rel
20.9, 91
29.7, 100
36.5, 32
42.4, 19
47.7, 45
52.6, 41
65.8, 22
69.8, 18
73.8, 13
85.2, 22



The following is a computed PXRD pattern of KSiAg2O4. It was derived from a GGA-PBE-relaxed structure, using Cu Kα.
Intensities are scaled so that the largest is 100.

Structure:
```
16
Lattice="5.7647 0.0000 0.0000 0.0000 5.8431 0.0000 0.0000 0.0000 6.8890" Properties=species:S:1:pos:R:3 pbc="T T T"
K 0.0000 0.0000 0.0000
K 2.8823 2.9215 3.4445
Si 0.0000 0.0000 3.4445
Si 2.8823 2.9215 0.0000
Ag 0.0000 2.9215 1.4962
Ag 0.0000 2.9215 5.3928
Ag 2.8823 0.0000 1.9483
Ag 2.8823 0.0000 4.9407
O 0.9589 0.9739 4.3918
O 0.9589 4.8692 2.4972
O 1.9234 1.9477 0.9473
O 1.9234 3.8954 5.9417
O 3.8413 1.9477 5.9417
O 3.8413 3.8954 0.9473
O 4.8058 0.9739 2.4972
O 4.8058 4.8692 4.3918
```

Most intense lines, 2θ = 10–90°, by angle:
Position (°2θ), I_rel
21.7, 37
25.9, 14
30.6, 29
31.0, 28
34.0, 100
42.3, 13
44.1, 29
56.6, 22
57.1, 21
71.5, 9



The following is a computed PXRD pattern of Li4InIr. It was derived from a GGA-PBE-relaxed structure, using Cu Kα.
Intensities are scaled so that the largest is 100.

Structure:
```
12
Lattice="5.4342 0.0000 0.0000 0.0000 4.3888 0.0000 -2.6913 0.0000 7.6465" Properties=species:S:1:pos:R:3 pbc="T T T"
Li -0.0678 1.0972 0.6400
Li -0.1786 1.0972 3.1809
Li -0.1738 3.2916 4.4665
Li -0.0464 3.2916 7.0071
Li 2.7894 1.0972 0.6394
Li 2.9168 1.0972 3.1800
Li 2.9216 3.2916 4.4656
Li 2.8108 3.2916 7.0065
In 1.3658 3.2916 1.9765
In 1.3772 1.0972 5.6700
Ir -1.3409 1.0972 5.7638
Ir 4.0839 3.2916 1.8826
```

Most intense lines, 2θ = 10–90°, by angle:
Position (°2θ), I_rel
23.3, 50
23.4, 100
33.0, 20
40.7, 40
40.8, 40
40.9, 28
41.1, 14
47.8, 15
53.7, 20
59.2, 13



The following is a computed PXRD pattern of Li5Cd2InHg2. It was derived from a GGA-PBE-relaxed structure, using Cu Kα.
Intensities are scaled so that the largest is 100.

Structure:
```
20
Lattice="10.8371 0.0000 0.0000 0.0000 10.8371 0.0000 0.0000 0.0000 3.4443" Properties=species:S:1:pos:R:3 pbc="T T T"
Li 0.0000 5.4186 0.0000
Li 0.1937 2.2538 0.0000
Li 2.2538 10.6434 0.0000
Li 3.1647 5.2248 0.0000
Li 5.2248 7.6724 0.0000
Li 5.4186 0.0000 0.0000
Li 5.6123 3.1647 0.0000
Li 7.6724 5.6123 0.0000
Li 8.5833 0.1937 0.0000
Li 10.6434 8.5833 0.0000
Cd 1.7969 7.2154 1.7222
Cd 3.6217 1.7969 1.7222
Cd 7.2154 9.0403 1.7222
Cd 9.0403 3.6217 1.7222
In 0.0000 0.0000 1.7222
In 5.4186 5.4186 1.7222
Hg 1.5326 3.8859 1.7222
Hg 3.8859 9.3045 1.7222
Hg 6.9512 1.5326 1.7222
Hg 9.3045 6.9512 1.7222
```

Most intense lines, 2θ = 10–90°, by angle:
Position (°2θ), I_rel
18.3, 19
25.9, 66
26.0, 100
35.1, 23
37.0, 100
42.5, 23
44.1, 21
57.6, 17
60.1, 19
71.8, 22



The following is a computed PXRD pattern of Sm2Ho5Sc. It was derived from a GGA-PBE-relaxed structure, using Cu Kα.
Intensities are scaled so that the largest is 100.

Structure:
```
16
Lattice="7.0392 0.0000 0.0000 0.0000 14.0861 0.0000 0.0000 0.0000 4.9632" Properties=species:S:1:pos:R:3 pbc="T T T"
Sm 1.7381 1.7413 0.0000
Sm 1.7815 8.7843 0.0000
Sm 5.2577 5.3018 0.0000
Sm 5.3011 12.3448 0.0000
Ho 0.0000 7.0430 2.4816
Ho 0.0153 10.5913 2.4816
Ho 1.7552 5.2978 0.0000
Ho 1.7644 12.3408 0.0000
Ho 3.5043 3.5483 2.4816
Ho 3.5196 0.0000 2.4816
Ho 3.5349 10.5378 2.4816
Ho 5.2748 1.7453 0.0000
Ho 5.2840 8.7883 0.0000
Ho 7.0239 3.4947 2.4816
Sc 0.0000 0.0000 2.4816
Sc 3.5196 7.0430 2.4816
```

Most intense lines, 2θ = 10–90°, by angle:
Position (°2θ), I_rel
31.1, 100
36.1, 34
36.2, 17
51.9, 12
52.0, 24
61.8, 28
62.0, 14
65.0, 12
85.1, 12
87.7, 11



The following is a computed PXRD pattern of KSrTl2. It was derived from a GGA-PBE-relaxed structure, using Cu Kα.
Intensities are scaled so that the largest is 100.

Structure:
```
8
Lattice="13.4613 0.0000 0.0000 0.0000 4.0204 0.0000 -2.5481 0.0000 5.3556" Properties=species:S:1:pos:R:3 pbc="T T T"
K 0.0000 0.0000 0.0000
K 6.7307 2.0102 0.0000
Sr 3.2316 2.0102 1.6180
Sr 9.9623 0.0000 1.6180
Tl -0.8185 2.0102 2.8941
Tl 1.3452 0.0000 4.0027
Tl 5.9122 0.0000 2.8941
Tl 8.0758 2.0102 4.0027
```

Most intense lines, 2θ = 10–90°, by angle:
Position (°2θ), I_rel
16.6, 51
16.7, 52
29.4, 39
30.1, 57
30.5, 100
30.7, 97
31.3, 44
40.3, 21
53.7, 21
55.2, 23



The following is a computed PXRD pattern of Ho2Tm3Cd3. It was derived from a GGA-PBE-relaxed structure, using Cu Kα.
Intensities are scaled so that the largest is 100.

Structure:
```
16
Lattice="3.7050 0.0000 0.0000 0.0000 5.2672 0.0000 0.0000 0.0000 21.9346" Properties=species:S:1:pos:R:3 pbc="T T T"
Ho 0.0000 0.0000 5.1230
Ho 0.0000 0.0000 16.8116
Ho 1.8525 2.6336 5.8443
Ho 1.8525 2.6336 16.0903
Tm 0.0000 0.0000 0.0000
Tm 0.0000 2.6336 2.7030
Tm 0.0000 2.6336 19.2316
Tm 1.8525 0.0000 8.2643
Tm 1.8525 0.0000 13.6703
Tm 1.8525 2.6336 10.9673
Cd 0.0000 0.0000 10.9673
Cd 0.0000 2.6336 8.4134
Cd 0.0000 2.6336 13.5212
Cd 1.8525 0.0000 2.5539
Cd 1.8525 0.0000 19.3807
Cd 1.8525 2.6336 0.0000
```

Most intense lines, 2θ = 10–90°, by angle:
Position (°2θ), I_rel
32.7, 23
33.8, 100
34.0, 26
47.9, 16
49.2, 9
59.0, 13
60.3, 9
60.8, 19
61.2, 9
71.1, 11